[1]
Computed powder diffraction line list
Compound: Sr4Nb2O9
Radiation: a wavelength of 1.5418 Å
Structure: a structure optimized by DFT (PBE)
Neutral-atom scattering factors, no anomalous dispersion.

The 10 most intense peaks (2θ = 10–90°), in order of rising 2θ:
d (Å), Rel. int.
7.971, 24
3.152, 98
2.975, 100
2.163, 50
1.982, 26
1.750, 36
1.717, 29
1.656, 13
1.487, 16
1.345, 14

Structural model:
```
Sr4Nb2O9
1.0
5.9491 0.0000 0.0000
-2.9746 5.1521 0.0000
0.0000 0.0000 15.9429
Sr Nb O
8 4 18
direct
0.0000 0.0000 0.0000
0.0000 0.0000 0.2500
0.0000 0.0000 0.5000
0.0000 0.0000 0.7500
0.3333 0.6667 0.1428
0.3333 0.6667 0.3621
0.6667 0.3333 0.6379
0.6667 0.3333 0.8572
0.3333 0.6667 0.6526
0.3333 0.6667 0.8444
0.6667 0.3333 0.1556
0.6667 0.3333 0.3474
0.0366 0.5933 0.7490
0.0787 0.3515 0.8962
0.0830 0.3587 0.5994
0.2727 0.9213 0.8962
0.2757 0.9170 0.5994
0.3515 0.2727 0.1038
0.3587 0.2757 0.4006
0.4067 0.4433 0.7490
0.4433 0.0366 0.2510
0.5567 0.9634 0.7490
0.5933 0.5567 0.2510
0.6413 0.7243 0.5994
0.6485 0.7273 0.8962
0.7243 0.0830 0.4006
0.7273 0.0787 0.1038
0.9170 0.6413 0.4006
0.9213 0.6485 0.1038
0.9634 0.4067 0.2510
```

---

[2]
Computed powder diffraction line list
Compound: Sr6Nb2O11
Radiation: a wavelength of 1.5418 Å
Structure: a structure optimized by DFT (PBE)
Neutral-atom scattering factors, no anomalous dispersion.

The 10 most intense peaks (2θ = 10–90°), in order of rising 2θ:
d (Å), Rel. int.
3.022, 100
3.011, 100
2.998, 55
2.973, 50
2.156, 25
2.119, 26
2.103, 24
1.751, 18
1.731, 28
1.725, 20

Structural model:
```
Sr6Nb2O11
1.0
5.9970 0.0000 0.0000
-2.9790 5.2306 0.0000
-0.1377 -2.9982 19.6081
Sr Nb O
12 4 22
direct
0.0000 0.0000 0.0000
0.0067 0.8834 0.8023
0.0594 0.0532 0.1789
0.2454 0.3794 0.5778
0.2964 0.6270 0.9524
0.3193 0.5085 0.7607
0.4474 0.7826 0.3074
0.5449 0.9876 0.4938
0.5680 0.0891 0.6734
0.7424 0.3979 0.0804
0.7967 0.4464 0.2603
0.8393 0.6347 0.4545
0.2019 0.2056 0.3802
0.4015 0.7251 0.1289
0.6476 0.2509 0.8768
0.9149 0.7214 0.6284
0.0108 0.1486 0.4598
0.0158 0.8231 0.3495
0.0995 0.2879 0.2984
0.1221 0.0796 0.6843
0.1510 0.7936 0.5517
0.1553 0.6193 0.6702
0.1639 0.3484 0.0941
0.1791 0.7218 0.2056
0.1880 0.8150 0.0694
0.3112 0.0307 0.9174
0.4212 0.5890 0.4139
0.4762 0.9921 0.7955
0.5268 0.1962 0.3812
0.6125 0.7209 0.0483
0.6143 0.6387 0.1925
0.6344 0.5626 0.8729
0.6569 0.1007 0.1642
0.6647 0.3633 0.5739
0.6937 0.8335 0.5815
0.7006 0.5871 0.7074
0.8267 0.2731 0.9630
0.9830 0.3313 0.8389
```

---

[3]
Computed powder diffraction line list
Compound: Sr4Nb2O9
Radiation: a wavelength of 1.5418 Å
Structure: a structure optimized by DFT (PBE)
Neutral-atom scattering factors, no anomalous dispersion.

The 10 most intense peaks (2θ = 10–90°), in order of rising 2θ:
d (Å), Rel. int.
3.075, 62
3.008, 100
2.988, 32
2.182, 20
2.120, 41
1.762, 22
1.741, 17
1.729, 11
1.724, 12
1.504, 18

Structural model:
```
Sr4Nb2O9
1.0
5.3807 -8.9649 0.0000
5.3807 8.9649 0.0000
-3.7223 0.0000 9.7626
Sr Nb O
16 8 36
direct
0.0764 0.9236 0.7500
0.0828 0.2586 0.6356
0.1599 0.6286 0.8634
0.2523 0.7477 0.2500
0.2586 0.0828 0.1356
0.2927 0.4611 0.3787
0.3714 0.8401 0.6366
0.4611 0.2927 0.8787
0.5389 0.7073 0.1213
0.6286 0.1599 0.3634
0.7073 0.5389 0.6213
0.7414 0.9172 0.8644
0.7477 0.2523 0.7500
0.8401 0.3714 0.1366
0.9172 0.7414 0.3644
0.9236 0.0764 0.2500
0.0000 0.5000 0.5000
0.1650 0.3352 0.9959
0.3352 0.1650 0.4959
0.4236 0.5764 0.7500
0.5000 0.0000 0.0000
0.5764 0.4236 0.2500
0.6648 0.8350 0.5041
0.8350 0.6648 0.0041
0.0008 0.6831 0.1322
0.0479 0.6999 0.6118
0.0715 0.2231 0.1107
0.1039 0.6009 0.3759
0.1830 0.1878 0.3806
0.1878 0.1830 0.8806
0.2108 0.5449 0.6274
0.2231 0.0715 0.6107
0.2555 0.5463 0.1007
0.2966 0.4692 0.8575
0.3001 0.9521 0.8882
0.3169 0.9992 0.3678
0.3799 0.3925 0.6221
0.3925 0.3799 0.1221
0.3991 0.8961 0.1241
0.4537 0.7445 0.3993
0.4551 0.7892 0.8726
0.4692 0.2966 0.3575
0.5308 0.7034 0.6425
0.5449 0.2108 0.1274
0.5463 0.2555 0.6007
0.6009 0.1039 0.8759
0.6075 0.6201 0.8779
0.6201 0.6075 0.3779
0.6831 0.0008 0.6322
0.6999 0.0479 0.1118
0.7034 0.5308 0.1425
0.7445 0.4537 0.8993
0.7769 0.9285 0.3893
0.7892 0.4551 0.3726
0.8122 0.8170 0.1194
0.8170 0.8122 0.6194
0.8961 0.3991 0.6241
0.9285 0.7769 0.8893
0.9521 0.3001 0.3882
0.9992 0.3169 0.8678
```

---

[4]
Computed powder diffraction line list
Compound: SrNb8O14
Radiation: a wavelength of 1.5418 Å
Structure: a structure optimized by DFT (PBE)
Neutral-atom scattering factors, no anomalous dispersion.

The 10 most intense peaks (2θ = 10–90°), in order of rising 2θ:
d (Å), Rel. int.
6.965, 50
3.486, 94
2.994, 32
2.861, 71
2.788, 38
2.763, 50
2.508, 65
2.001, 100
1.742, 45
1.502, 44

Structural model:
```
SrNb8O14
1.0
9.3788 0.0000 0.0000
0.0000 10.3996 0.0000
0.0000 0.0000 6.0208
Sr Nb O
2 16 28
direct
0.0000 0.0000 0.0000
0.5000 0.5000 0.0000
0.1163 0.1636 0.5000
0.1199 0.6646 0.0000
0.1253 0.4232 0.2317
0.1253 0.4232 0.7683
0.3747 0.9232 0.2317
0.3747 0.9232 0.7683
0.3801 0.1646 0.0000
0.3837 0.6636 0.5000
0.6163 0.3364 0.5000
0.6199 0.8354 0.0000
0.6253 0.0768 0.2317
0.6253 0.0768 0.7683
0.8747 0.5768 0.2317
0.8747 0.5768 0.7683
0.8801 0.3354 0.0000
0.8837 0.8364 0.5000
0.0000 0.0000 0.5000
0.0000 0.5000 0.5000
0.0049 0.2466 0.2457
0.0049 0.2466 0.7543
0.2344 0.3211 0.5000
0.2367 0.8486 0.0000
0.2397 0.0864 0.2456
0.2397 0.0864 0.7544
0.2603 0.5864 0.2456
0.2603 0.5864 0.7544
0.2633 0.3486 0.0000
0.2656 0.8211 0.5000
0.4951 0.7466 0.2457
0.4951 0.7466 0.7543
0.5000 0.0000 0.5000
0.5000 0.5000 0.5000
0.5049 0.2534 0.2457
0.5049 0.2534 0.7543
0.7344 0.1789 0.5000
0.7367 0.6514 0.0000
0.7397 0.4136 0.2456
0.7397 0.4136 0.7544
0.7603 0.9136 0.2456
0.7603 0.9136 0.7544
0.7633 0.1514 0.0000
0.7656 0.6789 0.5000
0.9951 0.7534 0.2457
0.9951 0.7534 0.7543
```

---

[5]
Computed powder diffraction line list
Compound: SrNb4O14
Radiation: a wavelength of 1.5418 Å
Structure: a structure optimized by DFT (PBE)
Neutral-atom scattering factors, no anomalous dispersion.

The 10 most intense peaks (2θ = 10–90°), in order of rising 2θ:
d (Å), Rel. int.
6.209, 83
6.160, 51
3.217, 73
3.104, 40
3.080, 100
2.672, 30
1.895, 33
1.884, 36
1.803, 17
1.611, 33

Structural model:
```
SrNb4O14
1.0
3.7682 2.1756 6.2088
-3.7682 2.1756 6.2088
0.0000 -4.3512 6.2088
Sr Nb O
1 4 14
direct
0.0000 0.0000 0.0000
0.0000 0.5000 0.5000
0.5000 0.0000 0.5000
0.5000 0.5000 0.0000
0.5000 0.5000 0.5000
0.1459 0.1459 0.1459
0.1862 0.1862 0.5726
0.1862 0.5726 0.1862
0.1897 0.5596 0.5596
0.4274 0.8138 0.8138
0.4404 0.4404 0.8103
0.4404 0.8103 0.4404
0.5596 0.1897 0.5596
0.5596 0.5596 0.1897
0.5726 0.1862 0.1862
0.8103 0.4404 0.4404
0.8138 0.4274 0.8138
0.8138 0.8138 0.4274
0.8541 0.8541 0.8541
```

---

[6]
Computed powder diffraction line list
Compound: Sr4Nb2O9
Radiation: a wavelength of 1.5418 Å
Structure: a structure optimized by DFT (PBE)
Neutral-atom scattering factors, no anomalous dispersion.

The 10 most intense peaks (2θ = 10–90°), in order of rising 2θ:
d (Å), Rel. int.
3.142, 16
3.002, 100
2.171, 22
2.077, 13
1.786, 10
1.733, 21
1.708, 7
1.501, 17
1.319, 7
1.135, 9

Structural model:
```
Sr4Nb2O9
1.0
-3.0030 4.1531 9.4273
3.0030 -4.1531 9.4273
3.0030 4.1531 -9.4273
Sr Nb O
8 4 18
direct
0.1282 0.3604 0.7678
0.1712 0.1712 0.0000
0.2449 0.0000 0.2449
0.4074 0.6396 0.7678
0.5926 0.3604 0.2322
0.7551 0.0000 0.7551
0.8288 0.8288 0.0000
0.8718 0.6396 0.2322
0.0000 0.5000 0.5000
0.3354 0.8354 0.5000
0.5000 0.5000 0.0000
0.6646 0.1646 0.5000
0.0765 0.3525 0.2760
0.0765 0.8005 0.7240
0.1411 0.8649 0.2762
0.2520 0.5000 0.7520
0.2732 0.0212 0.7479
0.2732 0.5253 0.2521
0.4113 0.1351 0.2762
0.4245 0.1953 0.7708
0.4245 0.6536 0.2292
0.5755 0.3464 0.7708
0.5755 0.8047 0.2292
0.5887 0.8649 0.7238
0.7268 0.4747 0.7479
0.7268 0.9788 0.2521
0.7480 0.5000 0.2480
0.8589 0.1351 0.7238
0.9235 0.1995 0.2760
0.9235 0.6475 0.7240
```